Theoretical powder X-ray diffraction pattern
Compound: Rb2TiW3O12
Radiation: Cu Ka
Structure: a structure optimized by DFT (GGA+U)
Lines closer than 0.1° are merged.

Crystal structure
Cell lengths 7.319, 7.319, 7.319 Å; angles 119.42, 119.42, 60.58 degrees
Positions (direct):
Rb: 0.132 0.132 0.367
Rb: 0.868 0.868 0.633
Ti: 0.495 0.505 0.000
W: 0.493 0.006 0.000
W: 0.493 0.507 0.500
W: 0.994 0.507 0.000
O: 0.178 0.195 0.940
O: 0.178 0.569 0.314
O: 0.179 0.569 0.940
O: 0.431 0.448 0.687
O: 0.431 0.821 0.060
O: 0.431 0.822 0.686
O: 0.552 0.195 0.313
O: 0.552 0.195 0.940
O: 0.552 0.569 0.313
O: 0.805 0.448 0.060
O: 0.805 0.448 0.687
O: 0.805 0.822 0.060

Largest 12 diffraction maxima, sorted by position, 5 to 70 degrees two-theta:
2θ = 14.72°, d = 6.019 Å, I = 22
2θ = 14.89°, d = 5.950 Å, I = 39
2θ = 24.32°, d = 3.659 Å, I = 17
2θ = 28.40°, d = 3.143 Å, I = 100
2θ = 28.64°, d = 3.117 Å, I = 16
2θ = 29.68°, d = 3.010 Å, I = 45
2θ = 30.04°, d = 2.975 Å, I = 17
2θ = 45.19°, d = 2.006 Å, I = 14
2θ = 45.50°, d = 1.994 Å, I = 14
2θ = 49.37°, d = 1.846 Å, I = 22
2θ = 49.84°, d = 1.830 Å, I = 21
2θ = 58.88°, d = 1.568 Å, I = 16